(1)
K2B4O7: computed powder XRD pattern (Cu Kα), based on the GGA-PBE geometry in the Materials Project.
Neutral-atom scattering factors, no anomalous dispersion.

a b c (Å): 6.5669 9.7972 10.5491
angles (deg): 89.19 77.37 79.01
Element x y z (fractional)
K (0.1411, 0.1230, 0.0392)
K (0.1643, 0.5186, 0.1244)
K (0.2582, 0.9965, 0.4084)
K (0.2866, 0.6253, 0.5012)
K (0.7134, 0.3747, 0.4988)
K (0.7418, 0.0035, 0.5916)
K (0.8357, 0.4814, 0.8756)
K (0.8589, 0.8770, 0.9608)
B (0.0498, 0.1539, 0.7307)
B (0.1747, 0.2954, 0.5440)
B (0.3047, 0.9100, 0.7325)
B (0.3126, 0.3127, 0.7471)
B (0.3654, 0.8053, 0.1581)
B (0.3720, 0.5553, 0.8091)
B (0.3909, 0.2960, 0.3141)
B (0.4362, 0.7729, 0.9059)
B (0.5638, 0.2271, 0.0941)
B (0.6091, 0.7040, 0.6859)
B (0.6280, 0.4447, 0.1909)
B (0.6346, 0.1947, 0.8419)
B (0.6874, 0.6873, 0.2529)
B (0.6953, 0.0900, 0.2675)
B (0.8253, 0.7046, 0.4560)
B (0.9502, 0.8461, 0.2693)
O (0.0178, 0.2254, 0.6066)
O (0.1519, 0.2334, 0.8037)
O (0.1529, 0.8689, 0.1857)
O (0.1778, 0.0133, 0.6804)
O (0.1888, 0.3144, 0.4120)
O (0.2673, 0.4453, 0.8261)
O (0.2931, 0.8971, 0.8641)
O (0.3047, 0.3470, 0.6084)
O (0.3229, 0.6516, 0.9112)
O (0.3591, 0.2569, 0.1888)
O (0.4487, 0.8166, 0.6420)
O (0.4631, 0.7623, 0.2592)
O (0.4780, 0.4296, 0.3028)
O (0.4813, 0.7952, 0.0323)
O (0.5187, 0.2048, 0.9677)
O (0.5220, 0.5704, 0.6972)
O (0.5369, 0.2377, 0.7408)
O (0.5513, 0.1834, 0.3580)
O (0.6409, 0.7431, 0.8112)
O (0.6771, 0.3484, 0.0888)
O (0.6953, 0.6530, 0.3916)
O (0.7069, 0.1029, 0.1359)
O (0.7327, 0.5547, 0.1739)
O (0.8112, 0.6856, 0.5880)
O (0.8222, 0.9867, 0.3196)
O (0.8471, 0.1311, 0.8143)
O (0.8481, 0.7666, 0.1963)
O (0.9822, 0.7746, 0.3934)

Top 8 peaks for 15° ≤ 2θ ≤ 90°, in order of rising 2θ:
2θ/deg, I (rel.)
25.57, 66
27.36, 69
28.39, 45
28.68, 53
28.94, 66
29.43, 100
30.84, 61
40.43, 48


(2)
La5In11Ni6: computed powder XRD pattern (Cu Kα), based on the GGA-PBE geometry in the Materials Project.
Neutral-atom scattering factors, no anomalous dispersion.

a b c (Å): 10.4537 10.4537 4.4945
angles (deg): 90.00 90.00 90.34
Element x y z (fractional)
La (0.0000, 0.0000, 0.0000)
La (0.1885, 0.4631, 0.5000)
La (0.4631, 0.1885, 0.5000)
La (0.5369, 0.8115, 0.5000)
La (0.8115, 0.5369, 0.5000)
In (0.0368, 0.6530, 0.0000)
In (0.1955, 0.8045, 0.5000)
In (0.2250, 0.2250, 0.0000)
In (0.3388, 0.6612, 0.0000)
In (0.3470, 0.9632, 0.0000)
In (0.5000, 0.5000, 0.5000)
In (0.6530, 0.0368, 0.0000)
In (0.6612, 0.3388, 0.0000)
In (0.7750, 0.7750, 0.0000)
In (0.8045, 0.1955, 0.5000)
In (0.9632, 0.3470, 0.0000)
Ni (0.0555, 0.2214, 0.5000)
Ni (0.2214, 0.0555, 0.5000)
Ni (0.4081, 0.4081, 0.0000)
Ni (0.5919, 0.5919, 0.0000)
Ni (0.7786, 0.9445, 0.5000)
Ni (0.9445, 0.7786, 0.5000)

Top 8 peaks for 15° ≤ 2θ ≤ 90°, in order of rising 2θ:
2θ/deg, I (rel.)
31.28, 21
32.51, 100
33.65, 32
36.58, 20
40.13, 36
40.87, 16
63.29, 19
68.12, 16


(3)
MnV: computed powder XRD pattern (Cu Kα), based on the GGA-PBE geometry in the Materials Project.
Neutral-atom scattering factors, no anomalous dispersion.

a b c (Å): 2.8740 2.8740 2.8740
angles (deg): 90.00 90.00 90.00
Element x y z (fractional)
Mn (0.0000, 0.0000, 0.0000)
V (0.5000, 0.5000, 0.5000)

Top 3 peaks for 15° ≤ 2θ ≤ 90°, in order of rising 2θ:
2θ/deg, I (rel.)
44.59, 100
64.89, 15
82.15, 28


(4)
NdAlSi: computed powder XRD pattern (Cu Kα), based on the GGA-PBE geometry in the Materials Project.
Neutral-atom scattering factors, no anomalous dispersion.

a b c (Å): 4.2324 4.2324 4.1917
angles (deg): 90.00 90.00 120.00
Element x y z (fractional)
Nd (0.0000, 0.0000, 0.0000)
Al (0.6667, 0.3333, 0.5000)
Si (0.3333, 0.6667, 0.5000)

Top 8 peaks for 15° ≤ 2θ ≤ 90°, in order of rising 2θ:
2θ/deg, I (rel.)
21.20, 12
24.28, 47
32.45, 100
42.73, 31
50.14, 14
54.66, 23
62.36, 20
71.76, 20


(5)
Sr4LaCl11: computed powder XRD pattern (Cu Kα), based on the GGA-PBE geometry in the Materials Project.
Neutral-atom scattering factors, no anomalous dispersion.

a b c (Å): 5.0177 5.0247 35.6686
angles (deg): 90.54 90.01 90.04
Element x y z (fractional)
Sr (0.0000, 0.0000, 0.0000)
Sr (0.9999, 0.0019, 0.1997)
Sr (0.0014, 0.0052, 0.3998)
Sr (0.0078, 0.0037, 0.5990)
Sr (0.4989, 0.5029, 0.2997)
Sr (0.5009, 0.5052, 0.4997)
Sr (0.5018, 0.5020, 0.0997)
Sr (0.5048, 0.4997, 0.9009)
La (0.4894, 0.4841, 0.7027)
La (0.9972, 0.0261, 0.7974)
Cl (0.9996, 0.5026, 0.2496)
Cl (0.0014, 0.5125, 0.7499)
Cl (0.0020, 0.5013, 0.9507)
Cl (0.0020, 0.5039, 0.1495)
Cl (0.0030, 0.5055, 0.3500)
Cl (0.0042, 0.5024, 0.5493)
Cl (0.0047, 0.4983, 0.8532)
Cl (0.0047, 0.5048, 0.6470)
Cl (0.0196, 0.0147, 0.7032)
Cl (0.4994, 0.0009, 0.0497)
Cl (0.4986, 0.0058, 0.4497)
Cl (0.4998, 0.0034, 0.2498)
Cl (0.5011, 0.0037, 0.3497)
Cl (0.5032, 0.0020, 0.1497)
Cl (0.5028, 0.0023, 0.9508)
Cl (0.5047, 0.4827, 0.7967)
Cl (0.5056, 0.0027, 0.5488)
Cl (0.5077, 0.9974, 0.8531)
Cl (0.5091, 0.0054, 0.6466)
Cl (0.5096, 0.9891, 0.7499)
Cl (0.9980, 0.5011, 0.0496)
Cl (0.9993, 0.5062, 0.4501)

Top 8 peaks for 15° ≤ 2θ ≤ 90°, in order of rising 2θ:
2θ/deg, I (rel.)
21.54, 24
21.68, 72
35.56, 50
35.79, 100
42.08, 21
42.28, 13
51.48, 16
64.35, 16


(6)
NaSi2O8: computed powder XRD pattern (Cu Kα), based on the GGA-PBE geometry in the Materials Project.
Neutral-atom scattering factors, no anomalous dispersion.

a b c (Å): 4.8931 17.4504 7.9349
angles (deg): 90.00 90.00 90.00
Element x y z (fractional)
Na (0.0000, 0.0047, 0.2500)
Na (0.0000, 0.9953, 0.7500)
Na (0.5000, 0.4953, 0.7500)
Na (0.5000, 0.5047, 0.2500)
Si (0.0021, 0.2987, 0.5518)
Si (0.0021, 0.7013, 0.0518)
Si (0.4979, 0.2013, 0.0518)
Si (0.4979, 0.7987, 0.5518)
Si (0.5021, 0.2013, 0.4482)
Si (0.5021, 0.7987, 0.9482)
Si (0.9979, 0.2987, 0.9482)
Si (0.9979, 0.7013, 0.4482)
O (0.0000, 0.3198, 0.7500)
O (0.0000, 0.4749, 0.7500)
O (0.0000, 0.5251, 0.2500)
O (0.0000, 0.6802, 0.2500)
O (0.0777, 0.3763, 0.4345)
O (0.0777, 0.6237, 0.9345)
O (0.2061, 0.2274, 0.5157)
O (0.2061, 0.7726, 0.0157)
O (0.2072, 0.0830, 0.0069)
O (0.2072, 0.9170, 0.5069)
O (0.2928, 0.4170, 0.5069)
O (0.2928, 0.5830, 0.0069)
O (0.2939, 0.2726, 0.0157)
O (0.2939, 0.7274, 0.5157)
O (0.4223, 0.1237, 0.9345)
O (0.4223, 0.8763, 0.4345)
O (0.5000, 0.0251, 0.2500)
O (0.5000, 0.1802, 0.2500)
O (0.5000, 0.8198, 0.7500)
O (0.5000, 0.9749, 0.7500)
O (0.5777, 0.1237, 0.5655)
O (0.5777, 0.8763, 0.0655)
O (0.7061, 0.2726, 0.4843)
O (0.7061, 0.7274, 0.9843)
O (0.7072, 0.4170, 0.9931)
O (0.7072, 0.5830, 0.4931)
O (0.7928, 0.0830, 0.4931)
O (0.7928, 0.9170, 0.9931)
O (0.7939, 0.2274, 0.9843)
O (0.7939, 0.7726, 0.4843)
O (0.9223, 0.3763, 0.0655)
O (0.9223, 0.6237, 0.5655)

Top 8 peaks for 15° ≤ 2θ ≤ 90°, in order of rising 2θ:
2θ/deg, I (rel.)
18.84, 17
21.94, 18
22.41, 36
23.74, 100
24.65, 59
29.65, 23
32.82, 15
38.37, 21


(7)
Er2SiO5: computed powder XRD pattern (Cu Kα), based on the GGA-PBE geometry in the Materials Project.
Neutral-atom scattering factors, no anomalous dispersion.

a b c (Å): 9.1449 6.7736 6.7094
angles (deg): 90.00 103.57 90.00
Element x y z (fractional)
Er (0.0312, 0.1209, 0.2310)
Er (0.0312, 0.3791, 0.7310)
Er (0.3616, 0.1404, 0.0293)
Er (0.3616, 0.3596, 0.5293)
Er (0.6384, 0.6404, 0.4707)
Er (0.6384, 0.8596, 0.9707)
Er (0.9688, 0.6209, 0.2690)
Er (0.9688, 0.8791, 0.7690)
Si (0.2984, 0.5936, 0.0121)
Si (0.2984, 0.9064, 0.5121)
Si (0.7016, 0.0936, 0.4879)
Si (0.7016, 0.4064, 0.9879)
O (0.1099, 0.1207, 0.9320)
O (0.1099, 0.3793, 0.4320)
O (0.1148, 0.6415, 0.9808)
O (0.1148, 0.8585, 0.4808)
O (0.2894, 0.0655, 0.3183)
O (0.2894, 0.4345, 0.8183)
O (0.3620, 0.0593, 0.7021)
O (0.3620, 0.4407, 0.2021)
O (0.3979, 0.7090, 0.5112)
O (0.3979, 0.7910, 0.0112)
O (0.6021, 0.2090, 0.9888)
O (0.6021, 0.2910, 0.4888)
O (0.6380, 0.5593, 0.7979)
O (0.6380, 0.9407, 0.2979)
O (0.7106, 0.5655, 0.1817)
O (0.7106, 0.9345, 0.6817)
O (0.8852, 0.1415, 0.5192)
O (0.8852, 0.3585, 0.0192)
O (0.8901, 0.6207, 0.5680)
O (0.8901, 0.8793, 0.0680)

Top 8 peaks for 15° ≤ 2θ ≤ 90°, in order of rising 2θ:
2θ/deg, I (rel.)
16.45, 62
29.72, 49
29.94, 44
30.16, 69
31.36, 51
32.46, 100
34.16, 64
48.80, 49


(8)
Li2BiB2O6: computed powder XRD pattern (Cu Kα), based on the GGA-PBE geometry in the Materials Project.
Neutral-atom scattering factors, no anomalous dispersion.

a b c (Å): 8.6382 6.3988 10.5148
angles (deg): 90.00 116.49 90.00
Element x y z (fractional)
Li (0.0958, 0.2203, 0.4846)
Li (0.0958, 0.2797, 0.9846)
Li (0.3281, 0.7386, 0.5485)
Li (0.3281, 0.7614, 0.0485)
Li (0.6719, 0.2386, 0.9515)
Li (0.6719, 0.2614, 0.4515)
Li (0.9042, 0.7203, 0.0154)
Li (0.9042, 0.7797, 0.5154)
Bi (0.3047, 0.0236, 0.2908)
Bi (0.3047, 0.4764, 0.7908)
Bi (0.6953, 0.5236, 0.2092)
Bi (0.6953, 0.9764, 0.7092)
B (0.0335, 0.6596, 0.8127)
B (0.0335, 0.8404, 0.3127)
B (0.4413, 0.1785, 0.1102)
B (0.4413, 0.3215, 0.6102)
B (0.5587, 0.6785, 0.3898)
B (0.5587, 0.8215, 0.8898)
B (0.9665, 0.1596, 0.6873)
B (0.9665, 0.3404, 0.1873)
O (0.0727, 0.6904, 0.6998)
O (0.0727, 0.8096, 0.1998)
O (0.1109, 0.2274, 0.6775)
O (0.1109, 0.2726, 0.1775)
O (0.1593, 0.5510, 0.9290)
O (0.1593, 0.9490, 0.4290)
O (0.2916, 0.0607, 0.0599)
O (0.2916, 0.4393, 0.5599)
O (0.4613, 0.7029, 0.2447)
O (0.4613, 0.7971, 0.7447)
O (0.4932, 0.2119, 0.5215)
O (0.4932, 0.2881, 0.0215)
O (0.5068, 0.7119, 0.9785)
O (0.5068, 0.7881, 0.4785)
O (0.5387, 0.2029, 0.2553)
O (0.5387, 0.2971, 0.7553)
O (0.7084, 0.5607, 0.4401)
O (0.7084, 0.9393, 0.9401)
O (0.8407, 0.0510, 0.5710)
O (0.8407, 0.4490, 0.0710)
O (0.8891, 0.7274, 0.8225)
O (0.8891, 0.7726, 0.3225)
O (0.9273, 0.1904, 0.8002)
O (0.9273, 0.3096, 0.3002)

Top 8 peaks for 15° ≤ 2θ ≤ 90°, in order of rising 2θ:
2θ/deg, I (rel.)
17.78, 100
18.86, 33
22.32, 18
22.62, 53
29.07, 18
34.68, 18
36.45, 19
36.64, 17